Calculated X-ray powder pattern
Compound: Sr2Zn2BiO6
Radiation: copper Kα
Structure: DFT lattice parameters and positions (PBE)
Lines closer than 0.1° are merged.

Largest 12 diffraction maxima, in order of rising 2θ, 2θ from 10° to 80°:
| d (Å) | 2theta | I_rel |
| --- | --- | --- |
| 5.895 | 15.0 | 31.3 |
| 3.768 | 23.6 | 79.6 |
| 2.948 | 30.3 | 28.4 |
| 2.828 | 31.6 | 89.7 |
| 2.550 | 35.2 | 19.3 |
| 2.262 | 39.9 | 22.0 |
| 2.041 | 44.4 | 100.0 |
| 1.766 | 51.8 | 20.6 |
| 1.633 | 56.3 | 28.1 |
| 1.428 | 65.3 | 21.1 |
| 1.307 | 72.3 | 19.2 |
| 1.275 | 74.4 | 20.7 |

Cell and atoms:
Cell lengths 5.656, 5.656, 5.895 Å; angles 90.00, 90.00, 120.00 degrees
Atoms (fractional coordinates):
1 Sr 0.333 0.667 0.000
2 Sr 0.667 0.333 0.000
3 Zn 0.333 0.667 0.500
4 Zn 0.667 0.333 0.500
5 Bi 0.000 0.000 0.500
6 O 0.000 0.350 0.295
7 O 0.000 0.650 0.705
8 O 0.350 0.000 0.295
9 O 0.350 0.350 0.705
10 O 0.650 0.000 0.705
11 O 0.650 0.650 0.295


Calculated X-ray powder pattern
Compound: Ta3Bi4O14
Radiation: copper Kα
Structure: DFT lattice parameters and positions (PBE)
Lines closer than 0.1° are merged.

Largest 12 diffraction maxima, in order of rising 2θ, 2θ from 10° to 80°:
| d (Å) | 2theta | I_rel |
| --- | --- | --- |
| 3.561 | 25.0 | 11.1 |
| 3.128 | 28.5 | 53.5 |
| 3.102 | 28.8 | 100.0 |
| 2.971 | 30.1 | 39.9 |
| 2.675 | 33.5 | 48.3 |
| 2.637 | 34.0 | 22.4 |
| 1.916 | 47.4 | 45.2 |
| 1.867 | 48.8 | 12.9 |
| 1.842 | 49.5 | 19.9 |
| 1.635 | 56.3 | 15.4 |
| 1.622 | 56.7 | 12.8 |
| 1.611 | 57.2 | 11.2 |

Cell and atoms:
Cell lengths 7.664, 7.664, 12.131 Å; angles 100.02, 100.02, 60.05 degrees
Atoms (fractional coordinates):
1 Ta 0.130 0.364 0.741
2 Ta 0.148 0.852 0.750
3 Ta 0.364 0.130 0.241
4 Ta 0.636 0.870 0.759
5 Ta 0.852 0.148 0.250
6 Ta 0.870 0.636 0.259
7 Bi 0.023 0.749 0.030
8 Bi 0.251 0.977 0.470
9 Bi 0.275 0.486 0.490
10 Bi 0.486 0.275 0.990
11 Bi 0.514 0.725 0.010
12 Bi 0.725 0.514 0.510
13 Bi 0.749 0.023 0.530
14 Bi 0.977 0.251 0.970
15 O 0.062 0.157 0.773
16 O 0.123 0.866 0.584
17 O 0.134 0.877 0.916
18 O 0.139 0.446 0.914
19 O 0.143 0.277 0.583
20 O 0.157 0.062 0.273
21 O 0.158 0.430 0.284
22 O 0.207 0.571 0.722
23 O 0.277 0.143 0.083
24 O 0.365 0.587 0.078
25 O 0.413 0.635 0.422
26 O 0.429 0.793 0.778
27 O 0.430 0.158 0.784
28 O 0.446 0.139 0.414
29 O 0.554 0.861 0.586
30 O 0.570 0.842 0.216
31 O 0.571 0.207 0.222
32 O 0.587 0.365 0.578
33 O 0.635 0.413 0.922
34 O 0.723 0.857 0.917
35 O 0.793 0.429 0.278
36 O 0.842 0.570 0.716
37 O 0.843 0.938 0.727
38 O 0.857 0.723 0.417
39 O 0.861 0.554 0.086
40 O 0.866 0.123 0.084
41 O 0.877 0.134 0.416
42 O 0.938 0.843 0.227


Calculated X-ray powder pattern
Compound: Ta3BiO9
Radiation: copper Kα
Structure: DFT lattice parameters and positions (PBE)
Lines closer than 0.1° are merged.

Largest 12 diffraction maxima, in order of rising 2θ, 2θ from 10° to 80°:
| d (Å) | 2theta | I_rel |
| --- | --- | --- |
| 8.349 | 10.6 | 30.7 |
| 3.808 | 23.4 | 46.2 |
| 3.465 | 25.7 | 34.5 |
| 3.385 | 26.3 | 100.0 |
| 3.238 | 27.5 | 83.7 |
| 3.117 | 28.6 | 54.2 |
| 2.946 | 30.3 | 50.9 |
| 2.895 | 30.9 | 91.8 |
| 2.714 | 33.0 | 58.7 |
| 2.247 | 40.1 | 34.6 |
| 1.904 | 47.8 | 34.9 |
| 1.700 | 53.9 | 38.0 |

Cell and atoms:
Cell lengths 5.434, 7.616, 8.358 Å; angles 90.00, 92.64, 90.00 degrees
Atoms (fractional coordinates):
1 Ta 0.000 0.000 0.000
2 Ta 0.000 0.500 0.000
3 Ta 0.472 0.006 0.699
4 Ta 0.472 0.494 0.699
5 Ta 0.528 0.506 0.301
6 Ta 0.528 0.994 0.301
7 Bi 0.043 0.250 0.438
8 Bi 0.957 0.750 0.562
9 O 0.084 0.250 0.984
10 O 0.159 0.556 0.790
11 O 0.159 0.944 0.790
12 O 0.265 0.537 0.469
13 O 0.265 0.963 0.469
14 O 0.317 0.548 0.125
15 O 0.317 0.952 0.125
16 O 0.352 0.250 0.659
17 O 0.435 0.250 0.314
18 O 0.565 0.750 0.686
19 O 0.648 0.750 0.341
20 O 0.683 0.048 0.875
21 O 0.683 0.452 0.875
22 O 0.735 0.037 0.531
23 O 0.735 0.463 0.531
24 O 0.841 0.056 0.210
25 O 0.841 0.444 0.210
26 O 0.916 0.750 0.016


Calculated X-ray powder pattern
Compound: TaBi2O6
Radiation: copper Kα
Structure: DFT lattice parameters and positions (PBE)
Lines closer than 0.1° are merged.

Largest 12 diffraction maxima, in order of rising 2θ, 2θ from 10° to 80°:
| d (Å) | 2theta | I_rel |
| --- | --- | --- |
| 4.754 | 18.7 | 70.3 |
| 3.976 | 22.4 | 20.4 |
| 3.018 | 29.6 | 100.0 |
| 2.856 | 31.3 | 25.9 |
| 2.769 | 32.3 | 21.2 |
| 2.717 | 33.0 | 33.9 |
| 2.448 | 36.7 | 20.2 |
| 1.988 | 45.6 | 24.5 |
| 1.939 | 46.8 | 36.4 |
| 1.758 | 52.0 | 18.8 |
| 1.678 | 54.7 | 20.5 |
| 1.642 | 56.0 | 19.3 |

Cell and atoms:
Cell lengths 5.538, 5.712, 9.268 Å; angles 90.00, 90.00, 90.00 degrees
Atoms (fractional coordinates):
1 Ta 0.000 0.000 0.000
2 Ta 0.500 0.500 0.500
3 Bi 0.000 0.500 0.198
4 Bi 0.000 0.500 0.802
5 Bi 0.500 0.000 0.302
6 Bi 0.500 0.000 0.698
7 O 0.178 0.301 0.000
8 O 0.205 0.852 0.157
9 O 0.205 0.852 0.843
10 O 0.295 0.352 0.343
11 O 0.295 0.352 0.657
12 O 0.322 0.801 0.500
13 O 0.678 0.199 0.500
14 O 0.705 0.648 0.343
15 O 0.705 0.648 0.657
16 O 0.795 0.148 0.157
17 O 0.795 0.148 0.843
18 O 0.822 0.699 0.000